1.
Structure and theoretical powder X-ray diffraction pattern of Ho2In3Au4 (a crystal structure in Alexandria, relaxed with GGA-PBE; a wavelength of 1.5418 Å).

Structure:
abc: 8.5162 4.9183 9.4406
angles: 90.00 90.10 90.00
Space group C2/m (No. 12)
Symmetry-distinct sites (fractional):
Ho 0.1666 0.0000 0.2844
In 0.0000 0.5000 0.5000
In 0.1671 0.0000 0.9216
Au 0.0006 0.5000 0.8343
Au 0.1665 0.0000 0.5992

Most intense lines, 10 to 80 degrees two-theta, low angle first:
index, 2θ/deg, I_rel
2 0 1, 22.91, 9
1 1 3, 35.47, 100
3 1 0, 36.55, 96
4 0 3, 51.84, 34
2 0 6, 62.98, 17
4 2 3, 65.09, 34
6 0 0, 65.79, 17
4 0 -6, 75.00, 4
2 2 6, 75.10, 7
6 2 0, 77.67, 11

---

2.
Structure and theoretical powder X-ray diffraction pattern of PmHoInAu (a crystal structure in Alexandria, relaxed with GGA-PBE; a wavelength of 1.5418 Å).

Structure:
abc: 3.6399 3.6399 7.7965
angles: 90.00 90.00 90.00
Space group P4mm (No. 99)
Symmetry-distinct sites (fractional):
Pm 0.0000 0.0000 0.0000
Ho 0.0000 0.0000 0.5371
In 0.5000 0.5000 0.2747
Au 0.5000 0.5000 0.7402

Most intense lines, 10 to 80 degrees two-theta, low angle first:
index, 2θ/deg, I_rel
0 0 1, 11.35, 13
1 0 2, 33.69, 100
1 1 0, 34.86, 48
1 0 3, 42.75, 6
0 0 4, 46.60, 8
2 0 0, 50.12, 17
1 1 4, 59.49, 16
2 1 2, 61.76, 35
2 0 4, 70.84, 10
2 2 0, 73.60, 6

---

3.
Structure and theoretical powder X-ray diffraction pattern of TbHoInAu (a crystal structure in Alexandria, relaxed with GGA-PBE; a wavelength of 1.5418 Å).

Structure:
abc: 7.3870 7.3870 7.3870
angles: 90.00 90.00 90.00
Space group F-43m (No. 216)
Symmetry-distinct sites (fractional):
Tb 0.0000 0.0000 0.0000
Ho 0.0000 0.0000 0.5000
In 0.2500 0.2500 0.2500
Au 0.2500 0.2500 0.7500

Most intense lines, 10 to 80 degrees two-theta, low angle first:
index, 2θ/deg, I_rel
1 1 1, 20.83, 4
2 2 0, 34.34, 100
3 1 1, 40.50, 2
4 0 0, 49.35, 18
3 3 1, 54.12, 1
4 2 2, 61.50, 37
5 1 1, 65.68, 1
4 4 0, 72.36, 12
5 3 1, 76.25, 1